For Li3In2Hg8, a cell relaxed with GGA-PBE gives the theoretical XRD peak list in this record (Cu Kα (weighted mean of Kα1 and Kα2)).
Peak positions follow from Bragg's law for the DFT cell and can differ from measured ones.

```
13
Lattice="6.478 0.000 0.000 -0.131 6.773 0.000 -2.989 -3.408 7.023" Properties=species:S:1:pos:R:3 pbc="T T T"
Li 0.000 0.000 0.000
Li 0.027 3.385 3.587
Li 3.331 -0.020 3.436
In 0.127 0.004 3.382
In 3.231 3.361 3.641
Hg -1.559 1.555 5.512
Hg -1.474 -1.578 5.506
Hg 1.768 1.775 1.430
Hg 1.699 5.016 1.446
Hg 1.659 -1.650 5.577
Hg 1.590 1.591 5.593
Hg 4.832 4.943 1.517
Hg 4.917 1.811 1.511
```

Largest 8 diffraction maxima, low angle first, 15° ≤ 2θ ≤ 90°:
25.36 deg, I = 84, (0 0 2)
26.32 deg, I = 100, (0 2 -1)
27.55 deg, I = 89, (2 0 -1)
36.81 deg, I = 63, (0 2 -3)
36.93 deg, I = 64, (0 2 1)
37.28 deg, I = 73, (2 0 1)
38.08 deg, I = 72, (2 -2 0)
38.85 deg, I = 66, (2 2 -2)